# MoO
Theoretical powder diffractogram, copper Kα. Input: DFT lattice parameters and positions (GGA+U).
Kinematic intensities with the Lorentz-polarization factor, no thermal factor.

Cell and atoms:
Cell lengths 7.2267, 7.2267, 4.2810 Å; angles 90.00, 90.00, 120.00 degrees
Fractional coordinates of all 12 atoms:
Mo (0.1109, 0.7024, 0.2500)
Mo (0.2976, 0.4085, 0.2500)
Mo (0.4085, 0.1109, 0.7500)
Mo (0.5915, 0.8891, 0.2500)
Mo (0.7024, 0.5915, 0.7500)
Mo (0.8891, 0.2976, 0.7500)
O (0.0373, 0.6580, 0.7500)
O (0.3420, 0.3793, 0.7500)
O (0.3793, 0.0373, 0.2500)
O (0.6207, 0.9627, 0.7500)
O (0.6580, 0.6207, 0.2500)
O (0.9627, 0.3420, 0.2500)

The 6 most intense peaks (15 to 90 degrees two-theta), sorted by position:
hkl  Position (°2θ)  I/Imax
1 1 0  24.64  41.1
1 0 1  25.20  59.0
1 1 1  32.42  56.6
2 0 1  35.54  37.8
2 1 0  38.04  100.0
2 1 2  58.12  54.3